1.
# Li2ReOs
Simulated X-ray diffraction stick pattern, Cu Kα. Input: a DFT-relaxed cell (PBE, Alexandria).
No peak broadening, texture or thermal motion is included.

Top 8 peaks for 2θ = 10–90°, sorted by position:
2θ/deg, I/Imax, hkl
37.9, 494, 1 0 1
38.5, 335, 0 0 12
40.0, 1000, 1 0 4
41.2, 299, 0 1 5
44.2, 478, 1 0 7
46.1, 648, 0 1 8
52.6, 333, 0 1 11
81.2, 239, 1 1 12

Crystal structure
a = 2.7493 Å, b = 2.7493 Å, c = 28.0586 Å
α = 90.00°, β = 90.00°, γ = 120.00°
Space group R3m (No. 160, hexagonal axes)
Unique sites:
Li  0.0000  0.0000  0.0000 x3
Li  0.0000  0.0000  0.2426 x3
Re  0.0000  0.0000  0.4906 x3
Os  0.0000  0.0000  0.7493 x3

=====

2.
# LiAc2Cl2O2
Simulated X-ray diffraction stick pattern, Cu Kα. Input: a DFT-relaxed cell (PBE, Alexandria).
No peak broadening, texture or thermal motion is included.

Top 8 peaks for 2θ = 10–90°, sorted by position:
2θ/deg, I/Imax, hkl
25.3, 1000, 1 0 1
28.6, 904, 1 0 2
33.3, 456, 0 1 3
39.1, 211, 1 0 4
42.5, 363, 1 1 0
43.2, 220, 1 1 1
45.6, 206, 1 0 5
53.1, 235, 1 1 4

Crystal structure
a = 4.2524 Å, b = 4.2524 Å, c = 11.8073 Å
α = 90.00°, β = 90.00°, γ = 120.00°
Space group P-3m1 (No. 164)
Unique sites:
Li  0.0000  0.0000  0.0000 x1
Ac  0.3333  0.6667  0.6282 x2
Cl  0.0000  0.0000  0.2013 x2
O  0.3333  0.6667  0.4187 x2

=====

3.
# Sm2Y4Ho7
Simulated X-ray diffraction stick pattern, Cu Kα. Input: a DFT-relaxed cell (PBE, Alexandria).
No peak broadening, texture or thermal motion is included.

Top 8 peaks for 2θ = 10–90°, sorted by position:
2θ/deg, I/Imax, hkl
29.2, 237, 2 1 1
31.6, 431, 0 2 1
32.3, 1000, 1 1 4
32.3, 321, 1 2 -2
33.0, 198, 2 2 1
34.1, 166, 2 0 0
43.6, 156, 2 3 2
56.6, 154, 1 3 5

Crystal structure
a = 6.1089 Å, b = 6.6912 Å, c = 11.9254 Å
α = 86.57°, β = 75.17°, γ = 62.91°
Space group P1 (No. 1)
Unique sites:
Sm  0.0000  0.0000  0.0000 x1
Sm  0.2525  0.4217  0.0844 x1
Y  0.1132  0.2851  0.3886 x1
Y  0.4972  0.7504  0.4672 x1
Y  0.5784  0.2089  0.5435 x1
Y  0.9640  0.6682  0.6195 x1
Ho  0.0338  0.8243  0.3159 x1
Ho  0.0348  0.1332  0.6979 x1
Ho  0.4243  0.5946  0.7699 x1
Ho  0.5046  0.0631  0.8374 x1
Ho  0.5654  0.8750  0.1695 x1
Ho  0.6533  0.3543  0.2490 x1
Ho  0.8622  0.5421  0.9150 x1

=====

4.
# Mn2Be9Re
Simulated X-ray diffraction stick pattern, Cu Kα. Input: a DFT-relaxed cell (PBE, Alexandria).
No peak broadening, texture or thermal motion is included.

Top 8 peaks for 2θ = 10–90°, sorted by position:
2θ/deg, I/Imax, hkl
24.7, 1000, 1 0 1
25.9, 365, 0 1 2
26.6, 327, 0 0 6
33.1, 265, 0 1 5
39.9, 472, 1 0 7
42.8, 410, 1 1 0
43.6, 253, 0 1 8
51.1, 460, 1 1 6

Crystal structure
a = 4.2232 Å, b = 4.2232 Å, c = 20.1407 Å
α = 90.00°, β = 90.00°, γ = 120.00°
Space group R-3m (No. 166, hexagonal axes)
Unique sites:
Mn  0.0000  0.0000  0.1464 x6
Be  0.0000  0.0000  0.3340 x6
Be  0.0000  0.0000  0.5000 x3
Be  0.0045  0.5022  0.9158 x18
Re  0.0000  0.0000  0.0000 x3

=====

5.
# Y5Te2Os2
Simulated X-ray diffraction stick pattern, Cu Kα. Input: a DFT-relaxed cell (PBE, Alexandria).
No peak broadening, texture or thermal motion is included.

Top 8 peaks for 2θ = 10–90°, sorted by position:
2θ/deg, I/Imax, hkl
11.1, 996, 2 0 0
23.4, 586, 3 1 1
30.9, 914, 3 1 2
32.2, 584, 4 2 0
32.3, 589, 4 0 2
34.3, 1000, 4 2 1
37.0, 609, 1 3 1
38.5, 622, 5 1 2

Crystal structure
a = 15.9015 Å, b = 7.7738 Å, c = 7.7097 Å
α = 90.00°, β = 90.00°, γ = 90.00°
Space group Cmce (No. 64)
Unique sites:
Y  0.0000  0.0000  0.0000 x4
Y  0.1200  0.1756  0.3266 x16
Te  0.2121  0.0000  0.0000 x8
Os  0.0000  0.1154  0.6125 x8

=====

6.
# Sm5Pb2Se2
Simulated X-ray diffraction stick pattern, Cu Kα. Input: a DFT-relaxed cell (PBE, Alexandria).
No peak broadening, texture or thermal motion is included.

Top 8 peaks for 2θ = 10–90°, sorted by position:
2θ/deg, I/Imax, hkl
29.9, 661, 3 1 2
30.8, 691, 0 2 2
31.9, 428, 4 0 2
33.1, 1000, 5 1 1
33.9, 783, 4 2 1
34.9, 710, 1 1 3
35.2, 760, 1 3 1
65.7, 461, 9 3 1

Crystal structure
a = 15.3082 Å, b = 8.1639 Å, c = 8.2523 Å
α = 90.00°, β = 90.00°, γ = 90.00°
Space group Cmce (No. 64)
Unique sites:
Sm  0.0000  0.0000  0.0000 x4
Sm  0.1264  0.1605  0.3390 x16
Pb  0.2061  0.0000  0.0000 x8
Se  0.0000  0.1419  0.6433 x8

=====

7.
# Ac5La2YHo
Simulated X-ray diffraction stick pattern, Cu Kα. Input: a DFT-relaxed cell (PBE, Alexandria).
No peak broadening, texture or thermal motion is included.

Top 8 peaks for 2θ = 10–90°, sorted by position:
2θ/deg, I/Imax, hkl
24.6, 141, 0 6 1
25.0, 216, 1 3 2
28.9, 316, 1 1 3
29.6, 1000, 1 5 2
30.5, 356, 2 0 0
32.5, 156, 0 0 4
45.2, 127, 2 0 4
53.6, 271, 3 5 2

Crystal structure
a = 5.8555 Å, b = 22.9386 Å, c = 11.0332 Å
α = 90.00°, β = 90.00°, γ = 90.00°
Space group Cmcm (No. 63)
Unique sites:
Ac  0.0000  0.0000  0.0000 x4
Ac  0.0000  0.1308  0.2500 x4
Ac  0.0000  0.2198  0.5638 x8
Ac  0.0000  0.4968  0.2500 x4
La  0.0000  0.3849  0.5080 x8
Y  0.0000  0.1002  0.7500 x4
Ho  0.0000  0.3007  0.2500 x4